Entry 1:
Simulated X-ray powder pattern
Compound: Cs3HfBr7
Radiation: Cu Kα, 1.54184 Å
Structure: a PBE-relaxed structure

Cell and atoms:
Unit cell a=8.119 b=8.119 c=9.023 alpha=115.57 beta=115.57 gamma=86.56
Fractional positions:
Cs  0.000  0.000  0.000
Cs  0.272  0.746  0.575
Cs  0.746  0.272  0.575
Hf  0.551  0.551  0.135
Br  0.222  0.520  0.841
Br  0.380  0.380  0.233
Br  0.386  0.853  0.268
Br  0.520  0.222  0.841
Br  0.719  0.719  0.040
Br  0.801  0.801  0.517
Br  0.853  0.386  0.268

Main lines, in order of falling intensity (2θ from 10° to 80°):
2θ 20.10, 4.417 Å, rel. 100.0
2θ 32.20, 2.780 Å, rel. 93.1
2θ 12.22, 7.242 Å, rel. 45.8
2θ 30.33, 2.947 Å, rel. 41.2
2θ 37.45, 2.401 Å, rel. 29.8
2θ 12.80, 6.917 Å, rel. 24.3
2θ 18.64, 4.760 Å, rel. 23.9
2θ 34.04, 2.634 Å, rel. 23.6
2θ 25.76, 3.458 Å, rel. 22.7
2θ 40.85, 2.209 Å, rel. 21.2
2θ 15.03, 5.893 Å, rel. 19.5
2θ 44.79, 2.023 Å, rel. 18.5

***

Entry 2:
Simulated X-ray powder pattern
Compound: Cs2RbHfBr6
Radiation: Cu Kα, 1.54184 Å
Structure: a PBE-relaxed structure

Cell and atoms:
Unit cell a=16.805 b=16.805 c=16.805 alpha=27.44 beta=27.44 gamma=27.44
Fractional positions:
Cs  0.140  0.140  0.140
Cs  0.308  0.308  0.308
Cs  0.692  0.692  0.692
Cs  0.860  0.860  0.860
Rb  0.415  0.415  0.415
Rb  0.585  0.585  0.585
Hf  0.000  0.000  0.000
Hf  0.500  0.500  0.500
Br  0.147  0.629  0.629
Br  0.190  0.190  0.717
Br  0.190  0.717  0.190
Br  0.283  0.810  0.810
Br  0.371  0.371  0.853
Br  0.371  0.853  0.371
Br  0.629  0.147  0.629
Br  0.629  0.629  0.147
Br  0.717  0.190  0.190
Br  0.810  0.283  0.810
Br  0.810  0.810  0.283
Br  0.853  0.371  0.371

Main lines, in order of falling intensity (2θ from 10° to 80°):
2θ 10.95, 8.081 Å, rel. 100.0
2θ 28.90, 3.089 Å, rel. 99.5
2θ 22.33, 3.981 Å, rel. 60.4
2θ 32.96, 2.717 Å, rel. 54.7
2θ 45.53, 1.992 Å, rel. 54.3
2θ 13.34, 6.638 Å, rel. 45.2
2θ 27.43, 3.251 Å, rel. 43.8
2θ 36.77, 2.444 Å, rel. 30.3
2θ 31.53, 2.837 Å, rel. 24.0
2θ 39.18, 2.299 Å, rel. 18.9
2θ 39.58, 2.277 Å, rel. 18.8
2θ 57.54, 1.602 Å, rel. 18.1

***

Entry 3:
Simulated X-ray powder pattern
Compound: CsHgBr3
Radiation: Cu Kα, 1.54184 Å
Structure: a PBE-relaxed structure

Cell and atoms:
Unit cell a=8.145 b=8.145 c=8.145 alpha=119.62 beta=119.62 gamma=90.65
Fractional positions:
Cs  0.250  0.750  0.500
Cs  0.750  0.250  0.500
Hg  0.000  0.000  0.000
Hg  0.500  0.500  0.000
Br  0.224  0.224  0.000
Br  0.264  0.264  0.528
Br  0.264  0.736  0.000
Br  0.736  0.264  0.000
Br  0.736  0.736  0.472
Br  0.776  0.776  0.000

Main lines, in order of falling intensity (2θ from 10° to 80°):
2θ 30.87, 2.896 Å, rel. 100.0
2θ 21.82, 4.072 Å, rel. 91.1
2θ 44.49, 2.036 Å, rel. 68.3
2θ 31.24, 2.863 Å, rel. 46.5
2θ 21.70, 4.096 Å, rel. 45.0
2θ 38.13, 2.360 Å, rel. 43.0
2θ 15.30, 5.792 Å, rel. 37.1
2θ 44.23, 2.048 Å, rel. 36.3
2θ 55.14, 1.666 Å, rel. 35.5
2θ 26.76, 3.331 Å, rel. 26.5
2θ 49.81, 1.831 Å, rel. 22.3
2θ 34.67, 2.587 Å, rel. 20.6

***

Entry 4:
Simulated X-ray powder pattern
Compound: Cs2HgBr4
Radiation: Cu Kα, 1.54184 Å
Structure: a PBE-relaxed structure

Cell and atoms:
Unit cell a=8.013 b=10.418 c=16.658 alpha=90.00 beta=117.67 gamma=90.00
Fractional positions:
Cs  0.049  0.007  0.326
Cs  0.049  0.493  0.826
Cs  0.367  0.114  0.098
Cs  0.367  0.386  0.598
Cs  0.633  0.614  0.402
Cs  0.633  0.886  0.902
Cs  0.951  0.507  0.174
Cs  0.951  0.993  0.674
Hg  0.333  0.718  0.080
Hg  0.333  0.782  0.580
Hg  0.667  0.218  0.420
Hg  0.667  0.282  0.920
Br  0.118  0.665  0.421
Br  0.118  0.835  0.921
Br  0.243  0.697  0.707
Br  0.243  0.803  0.207
Br  0.304  0.034  0.576
Br  0.304  0.466  0.076
Br  0.322  0.185  0.869
Br  0.322  0.315  0.369
Br  0.678  0.685  0.631
Br  0.678  0.815  0.131
Br  0.696  0.534  0.924
Br  0.696  0.966  0.424
Br  0.757  0.197  0.793
Br  0.757  0.303  0.293
Br  0.882  0.165  0.079
Br  0.882  0.335  0.579

Main lines, in order of falling intensity (2θ from 10° to 80°):
2θ 28.66, 3.115 Å, rel. 100.0
2θ 22.19, 4.006 Å, rel. 74.3
2θ 21.02, 4.227 Å, rel. 44.0
2θ 28.41, 3.142 Å, rel. 41.3
2θ 15.11, 5.865 Å, rel. 36.8
2θ 21.38, 4.156 Å, rel. 36.7
2θ 24.13, 3.688 Å, rel. 33.4
2θ 24.90, 3.576 Å, rel. 30.7
2θ 27.79, 3.210 Å, rel. 30.6
2θ 14.71, 6.020 Å, rel. 30.6
2θ 33.83, 2.649 Å, rel. 26.3
2θ 31.54, 2.837 Å, rel. 25.0